Entry 1:
This entry pairs a crystal structure of BaLa2WO7 with its computed powder diffractogram. Radiation: Cu Kα, 1.54184 Å. Structure: a GGA+U-relaxed structure.
Intensities are scaled so that the largest is 100.

Atomic structure:
a b c (Å): 9.035 5.900 12.994
angles (deg): 90.00 105.28 90.00
Space group Pc (No. 7)
Unique sites:
Ba 0.000 0.231 0.000 [2 per cell]
Ba 0.035 0.265 0.730 [2 per cell]
La 0.323 0.238 0.281 [2 per cell]
La 0.452 0.268 0.996 [2 per cell]
La 0.585 0.230 0.736 [2 per cell]
La 0.713 0.264 0.449 [2 per cell]
W 0.236 0.277 0.526 [2 per cell]
W 0.797 0.226 0.203 [2 per cell]
O 0.012 0.233 0.207 [2 per cell]
O 0.018 0.279 0.520 [2 per cell]
O 0.214 0.490 0.406 [2 per cell]
O 0.223 0.019 0.431 [2 per cell]
O 0.258 0.443 0.116 [2 per cell]
O 0.277 0.091 0.656 [2 per cell]
O 0.460 0.299 0.548 [2 per cell]
O 0.513 0.487 0.856 [2 per cell]
O 0.523 0.011 0.876 [2 per cell]
O 0.572 0.206 0.188 [2 per cell]
O 0.748 0.400 0.070 [2 per cell]
O 0.772 0.058 0.615 [2 per cell]
O 0.810 0.488 0.296 [2 per cell]
O 0.825 0.012 0.324 [2 per cell]

Most intense lines, 2θ = 15–90°, in order of rising 2θ:
hkl 2 1 1, 2θ 27.84, intensity 100
hkl 0 0 4, 2θ 28.48, intensity 32
hkl 2 1 -3, 2θ 29.59, intensity 81
hkl 0 2 0, 2θ 30.30, intensity 47
hkl 4 0 -2, 2θ 40.07, intensity 21
hkl 0 2 4, 2θ 42.07, intensity 31

---

Entry 2:
This entry pairs a crystal structure of BaLa2WO7 with its computed powder diffractogram. Radiation: Cu Kα, 1.54184 Å. Structure: a GGA+U-relaxed structure.
Intensities are scaled so that the largest is 100.

Atomic structure:
a b c (Å): 9.017 5.896 12.991
angles (deg): 90.00 105.25 90.00
Space group P2_1/c (No. 14)
Unique sites:
Ba 0.017 0.008 0.366 [4 per cell]
La 0.305 0.511 0.415 [4 per cell]
La 0.433 0.017 0.630 [4 per cell]
W 0.219 0.024 0.162 [4 per cell]
O 0.003 0.023 0.158 [4 per cell]
O 0.191 0.237 0.040 [4 per cell]
O 0.208 0.735 0.566 [4 per cell]
O 0.246 0.192 0.749 [4 per cell]
O 0.263 0.655 0.793 [4 per cell]
O 0.444 0.043 0.180 [4 per cell]
O 0.493 0.238 0.492 [4 per cell]

Most intense lines, 2θ = 15–90°, in order of rising 2θ:
hkl 2 1 1, 2θ 27.88, intensity 100
hkl 0 0 4, 2θ 28.49, intensity 32
hkl 2 1 -3, 2θ 29.62, intensity 81
hkl 0 2 0, 2θ 30.32, intensity 47
hkl 4 0 -2, 2θ 40.16, intensity 21
hkl 0 2 4, 2θ 42.08, intensity 31

---

Entry 3:
This entry pairs a crystal structure of Ba2La2ZnW2O12 with its computed powder diffractogram. Radiation: Cu Kα, 1.54184 Å. Structure: a GGA+U-relaxed structure.
Intensities are scaled so that the largest is 100.

Atomic structure:
a b c (Å): 5.6857 5.6857 27.3732
angles (deg): 90.00 90.00 120.00
Space group R-3m (No. 166, hexagonal axes)
Unique sites:
Ba 0.0000 0.0000 0.2097 [6 per cell]
La 0.0000 0.0000 0.3650 [6 per cell]
Zn 0.0000 0.0000 0.5000 [3 per cell]
W 0.0000 0.0000 0.0770 [6 per cell]
O 0.0009 0.5004 0.3729 [18 per cell]
O 0.0062 0.5031 0.7852 [18 per cell]

Most intense lines, 2θ = 15–90°, in order of rising 2θ:
hkl 1 0 7, 2θ 29.16, intensity 100
hkl 1 1 0, 2θ 31.47, intensity 87
hkl 0 2 7, 2θ 43.43, intensity 54
hkl 0 1 14, 2θ 50.20, intensity 19
hkl 2 1 7, 2θ 54.61, intensity 35
hkl 3 0 0, 2θ 56.03, intensity 17

---

Entry 4:
This entry pairs a crystal structure of Ba2LiMn2O6 with its computed powder diffractogram. Radiation: Cu Kα, 1.54184 Å. Structure: a GGA+U-relaxed structure.
Intensities are scaled so that the largest is 100.

Atomic structure:
a b c (Å): 5.266 5.736 10.120
angles (deg): 90.00 90.00 90.00
Space group Amm2 (No. 38)
Unique sites:
Ba 0.000 0.000 0.000 [2 per cell]
Ba 0.500 0.000 0.356 [2 per cell]
Li 0.000 0.000 0.323 [2 per cell]
Mn 0.255 0.000 0.673 [4 per cell]
O 0.000 0.000 0.501 [2 per cell]
O 0.000 0.227 0.738 [4 per cell]
O 0.500 0.000 0.836 [2 per cell]
O 0.500 0.224 0.606 [4 per cell]

Most intense lines, 2θ = 15–90°, in order of rising 2θ:
hkl 1 0 2, 2θ 24.40, intensity 39
hkl 1 1 1, 2θ 24.58, intensity 100
hkl 0 1 3, 2θ 30.75, intensity 79
hkl 0 2 0, 2θ 31.19, intensity 39
hkl 1 0 4, 2θ 39.52, intensity 40
hkl 1 2 2, 2θ 39.99, intensity 49

---

Entry 5:
This entry pairs a crystal structure of Ba2LiMn2O6 with its computed powder diffractogram. Radiation: Cu Kα, 1.54184 Å. Structure: a GGA+U-relaxed structure.
Intensities are scaled so that the largest is 100.

Atomic structure:
a b c (Å): 10.834 5.882 5.223
angles (deg): 90.00 106.06 90.00
Space group Cm (No. 8)
Unique sites:
Ba 0.000 0.000 0.000 [2 per cell]
Ba 0.209 0.500 0.384 [2 per cell]
Li 0.168 0.000 0.619 [2 per cell]
Mn 0.373 0.000 0.107 [2 per cell]
Mn 0.395 0.000 0.613 [2 per cell]
O 0.037 0.500 0.915 [2 per cell]
O 0.229 0.000 0.321 [2 per cell]
O 0.308 0.213 0.806 [4 per cell]
O 0.454 0.225 0.397 [4 per cell]

Most intense lines, 2θ = 15–90°, in order of rising 2θ:
hkl 2 0 -1, 2θ 20.91, intensity 77
hkl 1 1 1, 2θ 26.50, intensity 77
hkl 3 1 0, 2θ 29.89, intensity 100
hkl 0 2 0, 2θ 30.39, intensity 62
hkl 2 2 -1, 2θ 37.18, intensity 52
hkl 1 1 -2, 2θ 37.71, intensity 48

---

Entry 6:
This entry pairs a crystal structure of Ba2LiMn2O6 with its computed powder diffractogram. Radiation: Cu Kα, 1.54184 Å. Structure: a GGA+U-relaxed structure.
Intensities are scaled so that the largest is 100.

Atomic structure:
a b c (Å): 5.258 5.644 6.236
angles (deg): 116.81 105.33 90.14
Space group P-1 (No. 2)
Unique sites:
Ba 0.192 0.193 0.387 [2 per cell]
Li 0.500 0.000 0.000 [1 per cell]
Mn 0.000 0.500 0.000 [1 per cell]
Mn 0.500 0.500 0.000 [1 per cell]
O 0.233 0.659 0.846 [2 per cell]
O 0.234 0.186 0.846 [2 per cell]
O 0.325 0.636 0.273 [2 per cell]

Most intense lines, 2θ = 15–90°, in order of rising 2θ:
hkl 1 1 -1, 2θ 23.33, intensity 100
hkl 1 1 0, 2θ 26.91, intensity 34
hkl 0 1 1, 2θ 29.78, intensity 86
hkl -1 1 1, 2θ 30.62, intensity 44
hkl 0 2 -1, 2θ 31.71, intensity 46
hkl 2 -1 1, 2θ 42.52, intensity 39

---

Entry 7:
This entry pairs a crystal structure of Ba2LiMn2P4O14 with its computed powder diffractogram. Radiation: Cu Kα, 1.54184 Å. Structure: a GGA+U-relaxed structure.
Intensities are scaled so that the largest is 100.

Atomic structure:
a b c (Å): 5.662 7.860 8.636
angles (deg): 66.32 80.21 84.32
Space group P-1 (No. 2)
Unique sites:
Ba 0.172 0.024 0.217 [2 per cell]
Li 0.500 0.000 0.500 [1 per cell]
Mn 0.286 0.593 0.101 [2 per cell]
P 0.220 0.642 0.708 [2 per cell]
P 0.268 0.250 0.765 [2 per cell]
O 0.022 0.217 0.885 [2 per cell]
O 0.038 0.375 0.196 [2 per cell]
O 0.245 0.823 0.551 [2 per cell]
O 0.269 0.472 0.641 [2 per cell]
O 0.292 0.136 0.657 [2 per cell]
O 0.407 0.616 0.831 [2 per cell]
O 0.476 0.213 0.872 [2 per cell]

Most intense lines, 2θ = 15–90°, in order of rising 2θ:
hkl 0 0 2, 2θ 22.72, intensity 100
hkl 1 0 2, 2θ 25.87, intensity 95
hkl 1 1 -1, 2θ 26.24, intensity 92
hkl 1 2 1, 2θ 26.43, intensity 86
hkl -1 2 1, 2θ 29.33, intensity 71
hkl 1 -2 0, 2θ 30.00, intensity 74

---

Entry 8:
This entry pairs a crystal structure of Ba2LiMn2P4O14 with its computed powder diffractogram. Radiation: Cu Kα, 1.54184 Å. Structure: a GGA+U-relaxed structure.
Intensities are scaled so that the largest is 100.

Atomic structure:
a b c (Å): 5.428 7.736 8.718
angles (deg): 109.85 90.75 92.44
Space group P1 (No. 1)
Unique sites:
Ba 0.000 0.000 0.000 [1 per cell]
Ba 0.372 0.941 0.512 [1 per cell]
Li 0.387 0.613 0.726 [1 per cell]
Mn 0.388 0.373 0.386 [1 per cell]
Mn 0.993 0.541 0.158 [1 per cell]
P 0.472 0.319 0.971 [1 per cell]
P 0.499 0.719 0.049 [1 per cell]
P 0.877 0.178 0.455 [1 per cell]
P 0.905 0.584 0.560 [1 per cell]
O 0.043 0.718 0.710 [1 per cell]
O 0.055 0.565 0.405 [1 per cell]
O 0.097 0.156 0.341 [1 per cell]
O 0.283 0.751 0.166 [1 per cell]
O 0.293 0.351 0.115 [1 per cell]
O 0.382 0.157 0.826 [1 per cell]
O 0.458 0.505 0.920 [1 per cell]
O 0.489 0.830 0.935 [1 per cell]
O 0.631 0.161 0.359 [1 per cell]
O 0.632 0.622 0.538 [1 per cell]
O 0.741 0.316 0.028 [1 per cell]
O 0.752 0.738 0.135 [1 per cell]
O 0.881 0.048 0.553 [1 per cell]
O 0.898 0.387 0.590 [1 per cell]

Most intense lines, 2θ = 15–90°, in order of rising 2θ:
hkl 1 -1 1, 2θ 20.88, intensity 67
hkl 0 0 2, 2θ 21.68, intensity 100
hkl 1 1 -2, 2θ 26.68, intensity 81
hkl 1 -2 1, 2θ 27.93, intensity 67
hkl 0 1 2, 2θ 28.41, intensity 47
hkl 1 2 0, 2θ 30.29, intensity 46

---

Entry 9:
This entry pairs a crystal structure of Ba2LiMn2P4O14 with its computed powder diffractogram. Radiation: Cu Kα, 1.54184 Å. Structure: a GGA+U-relaxed structure.
Intensities are scaled so that the largest is 100.

Atomic structure:
a b c (Å): 5.501 7.579 8.453
angles (deg): 105.22 93.25 93.06
Space group P1 (No. 1)
Unique sites:
Ba 0.000 0.000 0.000 [1 per cell]
Ba 0.392 0.905 0.559 [1 per cell]
Li 0.247 0.390 0.723 [1 per cell]
Mn 0.385 0.353 0.399 [1 per cell]
Mn 0.998 0.553 0.171 [1 per cell]
P 0.470 0.340 0.988 [1 per cell]
P 0.495 0.740 0.050 [1 per cell]
P 0.877 0.159 0.467 [1 per cell]
P 0.905 0.571 0.559 [1 per cell]
O 0.002 0.706 0.719 [1 per cell]
O 0.070 0.151 0.342 [1 per cell]
O 0.084 0.569 0.421 [1 per cell]
O 0.279 0.761 0.160 [1 per cell]
O 0.297 0.359 0.129 [1 per cell]
O 0.362 0.197 0.835 [1 per cell]
O 0.450 0.529 0.927 [1 per cell]
O 0.493 0.869 0.939 [1 per cell]
O 0.617 0.138 0.386 [1 per cell]
O 0.644 0.587 0.493 [1 per cell]
O 0.739 0.328 0.041 [1 per cell]
O 0.746 0.745 0.141 [1 per cell]
O 0.911 0.033 0.579 [1 per cell]
O 0.912 0.370 0.598 [1 per cell]

Most intense lines, 2θ = 15–90°, in order of rising 2θ:
hkl 1 -1 1, 2θ 21.41, intensity 62
hkl 0 0 2, 2θ 21.85, intensity 100
hkl 1 1 -2, 2θ 26.98, intensity 65
hkl 0 1 2, 2θ 27.83, intensity 68
hkl 1 -2 1, 2θ 28.47, intensity 80
hkl 1 2 0, 2θ 30.39, intensity 58

---

Entry 10:
This entry pairs a crystal structure of Ba2LiMn2P4O14 with its computed powder diffractogram. Radiation: Cu Kα, 1.54184 Å. Structure: a GGA+U-relaxed structure.
Intensities are scaled so that the largest is 100.

Atomic structure:
a b c (Å): 5.486 7.650 7.967
angles (deg): 101.72 92.95 92.18
Space group P1 (No. 1)
Unique sites:
Ba 0.000 0.000 0.000 [1 per cell]
Ba 0.393 0.879 0.567 [1 per cell]
Li 0.343 0.303 0.575 [1 per cell]
Mn 0.542 0.403 0.314 [1 per cell]
Mn 0.975 0.529 0.173 [1 per cell]
P 0.487 0.340 0.943 [1 per cell]
P 0.496 0.732 0.040 [1 per cell]
P 0.887 0.167 0.522 [1 per cell]
P 0.935 0.564 0.591 [1 per cell]
O 0.026 0.703 0.745 [1 per cell]
O 0.098 0.133 0.402 [1 per cell]
O 0.105 0.563 0.439 [1 per cell]
O 0.284 0.735 0.159 [1 per cell]
O 0.314 0.333 0.093 [1 per cell]
O 0.392 0.213 0.779 [1 per cell]
O 0.470 0.539 0.902 [1 per cell]
O 0.485 0.875 0.931 [1 per cell]
O 0.633 0.182 0.432 [1 per cell]
O 0.661 0.575 0.537 [1 per cell]
O 0.749 0.740 0.135 [1 per cell]
O 0.753 0.315 0.001 [1 per cell]
O 0.875 0.037 0.643 [1 per cell]
O 0.960 0.368 0.642 [1 per cell]

Most intense lines, 2θ = 15–90°, in order of rising 2θ:
hkl 0 0 2, 2θ 22.84, intensity 67
hkl -1 1 1, 2θ 23.46, intensity 54
hkl 0 1 2, 2θ 27.92, intensity 53
hkl 1 1 -2, 2θ 28.21, intensity 100
hkl 1 -2 1, 2θ 28.96, intensity 45
hkl 1 2 0, 2θ 29.58, intensity 61

---

Number 10 is which compound? Ba2LiMn2P4O14